[1]
Starting from a cell relaxed with PBE+U, the X-ray diffraction stick pattern of Pm2AlWO8 was computed for Cu Kα, 1.54184 Å.
Kinematic intensities with the Lorentz-polarization factor, no thermal factor.

Cell and atoms:
abc: 6.5501 6.5501 4.9942
angles: 90.00 90.00 120.00
Fractional positions:
1 Pm 0.3333 0.6667 0.2172
2 Pm 0.6667 0.3333 0.7828
3 Al 0.0000 0.0000 0.0000
4 W 0.0000 0.0000 0.5000
5 O 0.1302 0.2604 0.2474
6 O 0.1302 0.8698 0.2474
7 O 0.2604 0.1302 0.7526
8 O 0.3333 0.6667 0.7678
9 O 0.6667 0.3333 0.2322
10 O 0.7396 0.8698 0.2474
11 O 0.8698 0.1302 0.7526
12 O 0.8698 0.7396 0.7526

Principal peaks in the range 2θ = 10–90°, low angle first:
h k l, Position (°2θ), I/Imax
1 0 0, 15.6, 12
1 0 1, 23.7, 93
1 1 0, 27.2, 100
0 2 1, 36.4, 20
0 1 2, 39.4, 30
2 1 1, 46.1, 38
3 0 0, 48.1, 19
2 0 2, 48.6, 25
2 2 0, 56.2, 16
1 2 2, 56.6, 30
1 3 1, 61.8, 12
3 1 2, 70.8, 13

[2]
Starting from a cell relaxed with PBE+U, the X-ray diffraction stick pattern of Ho2NiB4O10 was computed for Cu Kα, 1.54184 Å.
Kinematic intensities with the Lorentz-polarization factor, no thermal factor.

Cell and atoms:
abc: 4.5395 7.2720 9.4155
angles: 90.00 91.25 90.00
Fractional positions:
1 Ho 0.0043 0.1011 0.1647
2 Ho 0.0043 0.3989 0.6647
3 Ho 0.9957 0.6011 0.3353
4 Ho 0.9957 0.8989 0.8353
5 Ni 0.0000 0.0000 0.5000
6 Ni 0.0000 0.5000 0.0000
7 B 0.4647 0.0962 0.6610
8 B 0.4647 0.4038 0.1610
9 B 0.4703 0.7354 0.5850
10 B 0.4703 0.7646 0.0850
11 B 0.5297 0.2354 0.9150
12 B 0.5297 0.2646 0.4150
13 B 0.5353 0.5962 0.8390
14 B 0.5353 0.9038 0.3390
15 O 0.2221 0.5957 0.8334
16 O 0.2221 0.9043 0.3334
17 O 0.2482 0.6089 0.5395
18 O 0.2482 0.8911 0.0395
19 O 0.3212 0.5919 0.1428
20 O 0.3212 0.9081 0.6428
21 O 0.3283 0.1702 0.7951
22 O 0.3283 0.3298 0.2951
23 O 0.3338 0.2072 0.5375
24 O 0.3338 0.2928 0.0375
25 O 0.6662 0.7072 0.9625
26 O 0.6662 0.7928 0.4625
27 O 0.6717 0.6702 0.7049
28 O 0.6717 0.8298 0.2049
29 O 0.6788 0.0919 0.3572
30 O 0.6788 0.4081 0.8572
31 O 0.7518 0.1089 0.9605
32 O 0.7518 0.3911 0.4605
33 O 0.7779 0.0957 0.6666
34 O 0.7779 0.4043 0.1666

Principal peaks in the range 2θ = 10–90°, low angle first:
h k l, Position (°2θ), I/Imax
1 0 0, 19.6, 100
0 1 2, 22.5, 34
0 2 1, 26.3, 44
1 1 -2, 29.7, 29
1 1 2, 30.3, 23
0 1 3, 31.0, 46
1 2 0, 31.5, 24
1 2 -1, 32.8, 48
1 2 1, 33.1, 44
1 1 -3, 36.6, 47
1 1 3, 37.3, 51
1 3 -2, 46.5, 25